(1)
The following is a theoretical powder diffraction line list of ZrCu2Ni. It was derived from the PBE geometry in Alexandria, using λ = 1.5418 Å (Cu Kα).

Most intense lines, 2θ = 5–70°, low angle first:
2θ 25.4, d = 3.504 Å, I = 2.5, hkl 1 0 1
2θ 25.7, d = 3.462 Å, I = 0.8, hkl 0 0 2
2θ 31.1, d = 2.872 Å, I = 0.9, hkl 1 1 0
2θ 40.8, d = 2.211 Å, I = 100.0, hkl 1 1 2
2θ 44.6, d = 2.031 Å, I = 38.4, hkl 2 0 0
2θ 52.0, d = 1.757 Å, I = 0.7, hkl 2 1 1
2θ 52.9, d = 1.731 Å, I = 11.3, hkl 0 0 4
2θ 64.9, d = 1.436 Å, I = 11.6, hkl 2 2 0

Atomic structure:
```
data_ZrCu2Ni
_chemical_formula_sum 'Zr2 Cu4 Ni2'
_cell_length_a 4.0623
_cell_length_b 4.0623
_cell_length_c 6.9245
_cell_angle_alpha 90.00
_cell_angle_beta 90.00
_cell_angle_gamma 90.00
_symmetry_space_group_name_H-M 'I -4 m 2'
_symmetry_Int_Tables_number 119
_symmetry_space_group_name_Hall 'I -4 -2'
loop_
_atom_site_label
_atom_site_type_symbol
_atom_site_fract_x
_atom_site_fract_y
_atom_site_fract_z
Zr1 Zr 0.0000 0.0000 0.0000
Cu1 Cu 0.0000 0.0000 0.5000
Cu2 Cu 0.0000 0.5000 0.2500
Ni1 Ni 0.0000 0.5000 0.7500
```

=====

(2)
The following is a theoretical powder diffraction line list of Zr2Cu2Ni15. It was derived from the PBE geometry in Alexandria, using λ = 1.5418 Å (Cu Kα).

Most intense lines, 2θ = 5–70°, low angle first:
2θ 38.1, d = 2.360 Å, I = 39.2, hkl 3 0 0
2θ 39.3, d = 2.292 Å, I = 23.2, hkl 0 2 4
2θ 44.3, d = 2.043 Å, I = 56.3, hkl 2 2 0
2θ 44.5, d = 2.034 Å, I = 100.0, hkl 0 3 3
2θ 45.2, d = 2.006 Å, I = 33.2, hkl 0 0 6
2θ 45.6, d = 1.990 Å, I = 13.8, hkl 2 0 5
2θ 50.1, d = 1.821 Å, I = 53.8, hkl 2 2 3
2θ 50.7, d = 1.801 Å, I = 13.3, hkl 1 1 6

Atomic structure:
```
data_Zr2Cu2Ni15
_chemical_formula_sum 'Zr6 Cu6 Ni45'
_cell_length_a 8.1738
_cell_length_b 8.1738
_cell_length_c 12.0353
_cell_angle_alpha 90.00
_cell_angle_beta 90.00
_cell_angle_gamma 120.00
_symmetry_space_group_name_H-M 'R -3 m'
_symmetry_Int_Tables_number 166
_symmetry_space_group_name_Hall '-R 3 2"'
loop_
_atom_site_label
_atom_site_type_symbol
_atom_site_fract_x
_atom_site_fract_y
_atom_site_fract_z
Zr1 Zr 0.0000 0.0000 0.1573
Cu1 Cu 0.0000 0.0000 0.4005
Ni1 Ni 0.0000 0.3072 0.5000
Ni2 Ni 0.0000 0.5000 0.0000
Ni3 Ni 0.0047 0.5024 0.6553
```